Record 1
Starting from a crystal structure in Alexandria, relaxed with PBE, the PXRD pattern of KGaP4O12 was calculated for a wavelength of 1.5418 Å.
Kinematic intensities with the Lorentz-polarization factor, no thermal factor.

abc: 16.989 12.429 5.218
angles: 90.00 100.77 90.00
Space group C2/m (No. 12)
Inequivalent atoms, fractional coordinates:
K  0.093  0.000  0.236 [4 per cell]
Ga  0.250  0.250  0.500 [4 per cell]
P  0.077  0.222  0.664 [8 per cell]
P  0.189  0.380  0.965 [8 per cell]
O  0.000  0.285  0.500 [4 per cell]
O  0.054  0.124  0.789 [8 per cell]
O  0.107  0.316  0.878 [8 per cell]
O  0.138  0.211  0.485 [8 per cell]
O  0.157  0.500  0.895 [4 per cell]
O  0.215  0.373  0.256 [8 per cell]
O  0.250  0.149  0.200 [8 per cell]

Most intense lines, 10° ≤ 2θ ≤ 90°, sorted by position:
d_spacing	2theta	Rel. int.	hkl
8.345	10.6	68.4	2 0 0
6.214	14.3	100.0	0 2 0
5.078	17.5	33.4	3 1 0
3.956	22.5	89.6	0 2 1
3.389	26.3	34.2	2 2 1
3.224	27.7	21.3	5 1 0
3.102	28.8	32.9	4 2 -1
2.657	33.7	57.2	0 4 1


Record 2
Starting from a crystal structure in Alexandria, relaxed with PBE, the PXRD pattern of KGaP2O8 was calculated for a wavelength of 1.5418 Å.
Kinematic intensities with the Lorentz-polarization factor, no thermal factor.

abc: 5.1124 5.1124 7.7647
angles: 90.00 90.00 120.00
Space group P-3 (No. 147)
Inequivalent atoms, fractional coordinates:
K  0.0000  0.0000  0.0000 [1 per cell]
Ga  0.0000  0.0000  0.5000 [1 per cell]
P  0.3333  0.6667  0.7082 [2 per cell]
O  0.0964  0.3455  0.6507 [6 per cell]
O  0.3333  0.6667  0.9075 [2 per cell]

Most intense lines, 10° ≤ 2θ ≤ 90°, sorted by position:
d_spacing	2theta	Rel. int.	hkl
7.765	11.4	53.3	0 0 1
4.428	20.1	36.4	1 0 0
3.846	23.1	100.0	0 1 1
2.919	30.6	83.0	0 1 2
2.556	35.1	45.6	1 1 0
2.135	42.3	18.8	2 -1 2
1.923	47.3	30.8	0 2 2
1.537	60.2	21.3	3 -2 2


Record 3
Starting from a crystal structure in Alexandria, relaxed with PBE, the PXRD pattern of K2PmGa2O6 was calculated for a wavelength of 1.5418 Å.
Kinematic intensities with the Lorentz-polarization factor, no thermal factor.

abc: 5.5785 5.5785 6.4061
angles: 90.00 90.00 120.00
Space group P-31m (No. 162)
Inequivalent atoms, fractional coordinates:
K  0.3333  0.6667  0.0000 [2 per cell]
Pm  0.0000  0.0000  0.5000 [1 per cell]
Ga  0.3333  0.6667  0.5000 [2 per cell]
O  0.0000  0.3771  0.3313 [6 per cell]

Most intense lines, 10° ≤ 2θ ≤ 90°, sorted by position:
d_spacing	2theta	Rel. int.	hkl
6.406	13.8	100.0	0 0 1
3.857	23.1	31.1	1 0 1
3.203	27.9	28.9	0 0 2
2.789	32.1	62.2	1 1 0
2.557	35.1	37.3	1 1 1
2.103	43.0	82.4	1 1 2
1.610	57.2	20.5	3 0 0
1.389	67.4	23.1	2 -1 4